Record 1
Starting from the PBE geometry in OQMD, the X-ray powder pattern of PrErZn4 was calculated for copper Kα.

Cell and atoms:
abc: 5.706 5.706 5.706
angles: 133.34 101.36 96.70
Positions (direct):
Pr (0.000, 0.000, 0.000)
Er (0.439, 0.939, 0.500)
Zn (0.003, 0.297, 0.707)
Zn (0.426, 0.628, 0.798)
Zn (0.590, 0.297, 0.293)
Zn (0.830, 0.628, 0.202)

Most intense lines, 10° ≤ 2θ ≤ 80°, by angle:
22.90 deg, 3.883 Å, intensity 18
33.23 deg, 2.696 Å, intensity 20
33.88 deg, 2.646 Å, intensity 100
34.27 deg, 2.617 Å, intensity 44
39.22 deg, 2.297 Å, intensity 11
39.89 deg, 2.260 Å, intensity 31
40.90 deg, 2.206 Å, intensity 49
53.58 deg, 1.710 Å, intensity 24
56.09 deg, 1.640 Å, intensity 12
66.01 deg, 1.415 Å, intensity 12
68.61 deg, 1.368 Å, intensity 13
73.10 deg, 1.294 Å, intensity 16


Record 2
Starting from the PBE geometry in OQMD, the X-ray powder pattern of Er5Pt3 was calculated for copper Kα.

Cell and atoms:
abc: 8.369 8.369 6.100
angles: 90.00 90.00 120.00
Positions (direct):
Er (0.000, 0.247, 0.250)
Er (0.000, 0.753, 0.750)
Er (0.247, 0.000, 0.250)
Er (0.247, 0.247, 0.750)
Er (0.333, 0.667, 0.000)
Er (0.333, 0.667, 0.500)
Er (0.667, 0.333, 0.000)
Er (0.667, 0.333, 0.500)
Er (0.753, 0.000, 0.750)
Er (0.753, 0.753, 0.250)
Pt (0.000, 0.393, 0.750)
Pt (0.000, 0.607, 0.250)
Pt (0.393, 0.000, 0.750)
Pt (0.393, 0.393, 0.250)
Pt (0.607, 0.000, 0.250)
Pt (0.607, 0.607, 0.750)

Most intense lines, 10° ≤ 2θ ≤ 80°, by angle:
29.28 deg, 3.050 Å, intensity 23
31.83 deg, 2.811 Å, intensity 11
32.69 deg, 2.739 Å, intensity 25
35.94 deg, 2.499 Å, intensity 100
36.45 deg, 2.465 Å, intensity 81
37.22 deg, 2.416 Å, intensity 48
47.63 deg, 1.909 Å, intensity 18
53.08 deg, 1.725 Å, intensity 17
56.35 deg, 1.633 Å, intensity 28
60.73 deg, 1.525 Å, intensity 11
72.15 deg, 1.309 Å, intensity 17
73.43 deg, 1.290 Å, intensity 13


Record 3
Starting from the PBE geometry in OQMD, the X-ray powder pattern of Er2SiPt was calculated for copper Kα.

Cell and atoms:
abc: 4.248 7.264 5.638
angles: 90.00 90.00 90.00
Positions (direct):
Er (0.000, 0.062, 0.000)
Er (0.000, 0.583, 0.232)
Er (0.500, 0.417, 0.732)
Er (0.500, 0.938, 0.500)
Si (0.000, 0.702, 0.725)
Si (0.500, 0.298, 0.225)
Pt (0.000, 0.212, 0.499)
Pt (0.500, 0.788, 0.999)

Most intense lines, 10° ≤ 2θ ≤ 80°, by angle:
19.94 deg, 4.454 Å, intensity 41
24.27 deg, 3.667 Å, intensity 26
29.05 deg, 3.074 Å, intensity 47
32.43 deg, 2.761 Å, intensity 88
34.12 deg, 2.628 Å, intensity 70
36.23 deg, 2.479 Å, intensity 100
40.36 deg, 2.235 Å, intensity 94
40.54 deg, 2.225 Å, intensity 45
42.56 deg, 2.124 Å, intensity 48
52.97 deg, 1.729 Å, intensity 24
55.64 deg, 1.652 Å, intensity 35
60.23 deg, 1.536 Å, intensity 28


Record 4
Starting from the PBE geometry in OQMD, the X-ray powder pattern of Er3SiPt4 was calculated for copper Kα.

Cell and atoms:
abc: 5.679 4.069 6.972
angles: 90.00 92.27 90.00
Positions (direct):
Er (0.000, 0.000, 0.000)
Er (0.245, 0.000, 0.497)
Er (0.735, 0.500, 0.358)
Si (0.495, 0.500, 0.823)
Pt (0.068, 0.500, 0.727)
Pt (0.225, 0.500, 0.213)
Pt (0.517, 0.000, 0.049)
Pt (0.705, 0.000, 0.660)

Most intense lines, 10° ≤ 2θ ≤ 80°, by angle:
25.35 deg, 3.513 Å, intensity 17
26.97 deg, 3.307 Å, intensity 18
29.64 deg, 3.014 Å, intensity 30
33.63 deg, 2.665 Å, intensity 21
33.88 deg, 2.646 Å, intensity 100
34.61 deg, 2.592 Å, intensity 44
37.05 deg, 2.426 Å, intensity 56
37.95 deg, 2.371 Å, intensity 45
40.47 deg, 2.229 Å, intensity 55
41.30 deg, 2.186 Å, intensity 55
44.54 deg, 2.034 Å, intensity 51
57.59 deg, 1.600 Å, intensity 22


Record 5
Starting from the PBE geometry in OQMD, the X-ray powder pattern of Er5Te3Pt was calculated for copper Kα.

Cell and atoms:
abc: 8.655 8.655 3.826
angles: 90.00 90.00 120.00
Positions (direct):
Er (0.000, 0.234, 0.000)
Er (0.234, 0.000, 0.000)
Er (0.333, 0.667, 0.000)
Er (0.667, 0.333, 0.000)
Er (0.766, 0.766, 0.000)
Te (0.000, 0.555, 0.500)
Te (0.445, 0.445, 0.500)
Te (0.555, 0.000, 0.500)
Pt (0.000, 0.000, 0.500)

Most intense lines, 10° ≤ 2θ ≤ 80°, by angle:
20.52 deg, 4.327 Å, intensity 20
31.20 deg, 2.866 Å, intensity 40
31.58 deg, 2.833 Å, intensity 53
33.47 deg, 2.677 Å, intensity 100
35.95 deg, 2.498 Å, intensity 20
39.58 deg, 2.277 Å, intensity 48
41.75 deg, 2.164 Å, intensity 14
47.53 deg, 1.913 Å, intensity 18
56.24 deg, 1.636 Å, intensity 17
58.19 deg, 1.585 Å, intensity 19
58.88 deg, 1.568 Å, intensity 24
76.65 deg, 1.243 Å, intensity 14


Record 6
Starting from the PBE geometry in OQMD, the X-ray powder pattern of Y3ErPt4 was calculated for copper Kα.

Cell and atoms:
abc: 5.565 4.506 7.032
angles: 90.00 90.29 90.00
Positions (direct):
Y (0.000, 0.000, 0.000)
Y (0.219, 0.000, 0.499)
Y (0.719, 0.500, 0.636)
Er (0.500, 0.500, 0.136)
Pt (0.014, 0.500, 0.273)
Pt (0.207, 0.500, 0.777)
Pt (0.513, 0.000, 0.866)
Pt (0.703, 0.000, 0.358)

Most intense lines, 10° ≤ 2θ ≤ 80°, by angle:
20.30 deg, 4.374 Å, intensity 38
25.44 deg, 3.502 Å, intensity 29
32.30 deg, 2.772 Å, intensity 100
34.61 deg, 2.592 Å, intensity 28
34.73 deg, 2.583 Å, intensity 25
36.15 deg, 2.485 Å, intensity 72
36.26 deg, 2.477 Å, intensity 89
40.02 deg, 2.253 Å, intensity 76
40.14 deg, 2.247 Å, intensity 76
40.25 deg, 2.241 Å, intensity 80
53.97 deg, 1.699 Å, intensity 30
72.82 deg, 1.299 Å, intensity 28


Record 7
Starting from the PBE geometry in OQMD, the X-ray powder pattern of ErZn2Pt3 was calculated for copper Kα.

Cell and atoms:
abc: 4.393 4.393 12.234
angles: 90.00 90.00 120.00
Positions (direct):
Er (0.000, 0.000, 0.250)
Er (0.000, 0.000, 0.750)
Zn (0.333, 0.667, 0.083)
Zn (0.333, 0.667, 0.417)
Zn (0.667, 0.333, 0.583)
Zn (0.667, 0.333, 0.917)
Pt (0.000, 0.000, 0.000)
Pt (0.000, 0.000, 0.500)
Pt (0.333, 0.667, 0.631)
Pt (0.333, 0.667, 0.869)
Pt (0.667, 0.333, 0.131)
Pt (0.667, 0.333, 0.369)

Most intense lines, 10° ≤ 2θ ≤ 80°, by angle:
24.50 deg, 3.633 Å, intensity 30
37.74 deg, 2.384 Å, intensity 100
41.09 deg, 2.197 Å, intensity 91
44.00 deg, 2.058 Å, intensity 22
57.01 deg, 1.615 Å, intensity 31
60.54 deg, 1.529 Å, intensity 5
61.77 deg, 1.502 Å, intensity 8
72.65 deg, 1.301 Å, intensity 30
74.06 deg, 1.280 Å, intensity 7
74.87 deg, 1.268 Å, intensity 16
75.79 deg, 1.255 Å, intensity 17
76.90 deg, 1.240 Å, intensity 9


Record 8
Starting from the PBE geometry in OQMD, the X-ray powder pattern of ErPuRe was calculated for copper Kα.

Cell and atoms:
abc: 4.558 4.558 4.558
angles: 60.00 60.00 60.00
Positions (direct):
Er (0.000, 0.000, 0.000)
Pu (0.250, 0.250, 0.250)
Re (0.500, 0.500, 0.500)

Most intense lines, 10° ≤ 2θ ≤ 80°, by angle:
23.91 deg, 3.721 Å, intensity 39
27.68 deg, 3.223 Å, intensity 5
39.55 deg, 2.279 Å, intensity 100
46.74 deg, 1.943 Å, intensity 20
48.95 deg, 1.861 Å, intensity 1
57.16 deg, 1.611 Å, intensity 17
62.84 deg, 1.479 Å, intensity 9
64.67 deg, 1.441 Å, intensity 2
71.74 deg, 1.316 Å, intensity 36
76.85 deg, 1.240 Å, intensity 7


Q: Which formula does entry 6 have?
A: Y3ErPt4


Repeat the sixth record exactly.
Starting from the PBE geometry in OQMD, the X-ray powder pattern of Y3ErPt4 was calculated for copper Kα.

Cell and atoms:
abc: 5.565 4.506 7.032
angles: 90.00 90.29 90.00
Positions (direct):
Y (0.000, 0.000, 0.000)
Y (0.219, 0.000, 0.499)
Y (0.719, 0.500, 0.636)
Er (0.500, 0.500, 0.136)
Pt (0.014, 0.500, 0.273)
Pt (0.207, 0.500, 0.777)
Pt (0.513, 0.000, 0.866)
Pt (0.703, 0.000, 0.358)

Most intense lines, 10° ≤ 2θ ≤ 80°, by angle:
20.30 deg, 4.374 Å, intensity 38
25.44 deg, 3.502 Å, intensity 29
32.30 deg, 2.772 Å, intensity 100
34.61 deg, 2.592 Å, intensity 28
34.73 deg, 2.583 Å, intensity 25
36.15 deg, 2.485 Å, intensity 72
36.26 deg, 2.477 Å, intensity 89
40.02 deg, 2.253 Å, intensity 76
40.14 deg, 2.247 Å, intensity 76
40.25 deg, 2.241 Å, intensity 80
53.97 deg, 1.699 Å, intensity 30
72.82 deg, 1.299 Å, intensity 28